Entry 1:
This entry pairs a crystal structure of GaO5 with its theoretical X-ray powder pattern. Radiation: Cu Kα, 1.54184 Å. Structure: a PBE-relaxed structure.
Peak positions follow from Bragg's law for the DFT cell and can differ from measured ones.

```
GaO5
1.0
4.7593 0.0000 0.0000
-2.3797 4.1217 0.0000
0.0000 0.0000 32.5923
Ga O
8 40
Direct
0.0000 0.0000 0.0000
0.0000 0.0000 0.2054
0.0000 0.0000 0.5000
0.0000 0.0000 0.7054
0.3333 0.6667 0.0951
0.3333 0.6667 0.3424
0.3333 0.6667 0.5951
0.3333 0.6667 0.8424
0.0000 0.0000 0.0553
0.0000 0.0000 0.3509
0.0000 0.0000 0.5553
0.0000 0.0000 0.8509
0.0025 0.2824 0.3686
0.0025 0.7201 0.8686
0.2799 0.2824 0.8686
0.2799 0.9975 0.3686
0.3333 0.6667 0.0411
0.3333 0.6667 0.2870
0.3333 0.6667 0.5411
0.3333 0.6667 0.7870
0.3689 0.0757 0.4679
0.3689 0.2932 0.9679
0.3844 0.0049 0.2133
0.3844 0.3796 0.7133
0.4088 0.0295 0.6304
0.4088 0.3793 0.1304
0.6204 0.0049 0.7133
0.6204 0.6156 0.2133
0.6207 0.0295 0.1304
0.6207 0.5912 0.6304
0.6667 0.3333 0.1133
0.6667 0.3333 0.2285
0.6667 0.3333 0.3010
0.6667 0.3333 0.4855
0.6667 0.3333 0.6133
0.6667 0.3333 0.7285
0.6667 0.3333 0.8010
0.6667 0.3333 0.9855
0.7068 0.0757 0.9679
0.7068 0.6311 0.4679
0.7176 0.7201 0.3686
0.7176 0.9975 0.8686
0.9243 0.2932 0.4679
0.9243 0.6311 0.9679
0.9705 0.3793 0.6304
0.9705 0.5912 0.1304
0.9951 0.3796 0.2133
0.9951 0.6156 0.7133
```

Main lines, in order of rising 2θ (2θ = 5–70°):
5.42°, rel. 21; 16.32°, rel. 17; 21.82°, rel. 52; 24.20°, rel. 100; 27.16°, rel. 41; 37.81°, rel. 38; 39.74°, rel. 15; 44.07°, rel. 12; 45.39°, rel. 18; 49.94°, rel. 14; 60.51°, rel. 17; 68.27°, rel. 13

=====

Entry 2:
This entry pairs a crystal structure of GaPO4 with its theoretical X-ray powder pattern. Radiation: Cu Kα, 1.54184 Å. Structure: a PBE-relaxed structure.
Peak positions follow from Bragg's law for the DFT cell and can differ from measured ones.

```
GaPO4
1.0
-2.5434 2.5434 3.6876
2.5434 -2.5434 3.6876
2.5434 2.5434 -3.6876
Ga P O
1 1 4
Direct
0.0000 0.0000 0.0000
0.2500 0.7500 0.5000
0.0101 0.4127 0.1566
0.1465 0.9899 0.4026
0.2561 0.8535 0.8434
0.5873 0.7439 0.5974
```

Main lines, in order of rising 2θ (2θ = 5–70°):
21.22°, rel. 100; 34.84°, rel. 34; 35.29°, rel. 7; 40.77°, rel. 6; 41.54°, rel. 15; 43.21°, rel. 4; 50.77°, rel. 5; 55.00°, rel. 14; 55.62°, rel. 3; 62.19°, rel. 7; 63.05°, rel. 9; 67.61°, rel. 7

=====

Entry 3:
This entry pairs a crystal structure of GaPO4 with its theoretical X-ray powder pattern. Radiation: Cu Kα, 1.54184 Å. Structure: a PBE-relaxed structure.
Peak positions follow from Bragg's law for the DFT cell and can differ from measured ones.

```
GaPO4
1.0
3.5366 -3.5422 0.0000
3.5366 3.5422 0.0000
0.0000 0.0000 7.0021
Ga P O
2 2 8
Direct
0.1871 0.1871 0.0000
0.8129 0.8129 0.5000
0.3164 0.6836 0.7500
0.6836 0.3164 0.2500
0.1664 0.7739 0.5682
0.2261 0.8336 0.9318
0.2672 0.3822 0.7849
0.3822 0.2672 0.2151
0.6178 0.7328 0.7151
0.7328 0.6178 0.2849
0.7739 0.1664 0.4318
0.8336 0.2261 0.0682
```

Main lines, in order of rising 2θ (2θ = 5–70°):
21.83°, rel. 100; 25.14°, rel. 6; 28.26°, rel. 15; 31.18°, rel. 18; 35.88°, rel. 21; 36.08°, rel. 8; 42.38°, rel. 12; 42.75°, rel. 6; 46.62°, rel. 6; 48.28°, rel. 9; 59.92°, rel. 8; 61.57°, rel. 10

=====

Entry 4:
This entry pairs a crystal structure of GaPO4 with its theoretical X-ray powder pattern. Radiation: Cu Kα, 1.54184 Å. Structure: a PBE-relaxed structure.
Peak positions follow from Bragg's law for the DFT cell and can differ from measured ones.

```
GaPO4
1.0
5.0091 0.0000 0.0000
-2.5046 4.3380 0.0000
0.0000 0.0000 11.2474
Ga P O
3 3 12
Direct
0.0000 0.4607 0.1667
0.4607 0.0000 0.8333
0.5393 0.5393 0.5000
0.0000 0.4623 0.6667
0.4623 0.0000 0.3333
0.5377 0.5377 0.0000
0.0974 0.6894 0.7725
0.1459 0.7334 0.2924
0.2666 0.4125 0.6257
0.3106 0.4080 0.1058
0.4080 0.3106 0.8942
0.4125 0.2666 0.3743
0.5875 0.8541 0.9591
0.5920 0.9026 0.4391
0.6894 0.0974 0.2275
0.7334 0.1459 0.7076
0.8541 0.5875 0.0409
0.9026 0.5920 0.5609
```

Main lines, in order of rising 2θ (2θ = 5–70°):
20.47°, rel. 21; 21.96°, rel. 8; 25.94°, rel. 100; 35.85°, rel. 8; 38.14°, rel. 15; 39.38°, rel. 9; 41.64°, rel. 14; 48.52°, rel. 7; 48.69°, rel. 12; 58.65°, rel. 13; 65.90°, rel. 17; 66.80°, rel. 7

=====

Entry 5:
This entry pairs a crystal structure of RbGa2P5O16 with its theoretical X-ray powder pattern. Radiation: Cu Kα, 1.54184 Å. Structure: a PBE-relaxed structure.
Peak positions follow from Bragg's law for the DFT cell and can differ from measured ones.

```
RbGa2P5O16
1.0
7.4984 0.0000 0.0000
0.0000 9.3376 0.0000
-3.8645 0.0000 9.5765
Rb Ga P O
2 4 10 32
Direct
0.0000 0.2017 0.0000
0.0000 0.7983 0.5000
0.3792 0.1386 0.7911
0.3792 0.8614 0.2911
0.9385 0.3685 0.3994
0.9385 0.6315 0.8994
0.1245 0.4151 0.7329
0.1245 0.5849 0.2329
0.2869 0.1260 0.4605
0.2869 0.8740 0.9605
0.5238 0.4567 0.7725
0.5238 0.5433 0.2725
0.5780 0.2945 0.1334
0.5780 0.7055 0.6334
0.6248 0.1369 0.3891
0.6248 0.8631 0.8891
0.0110 0.4658 0.8186
0.0110 0.5342 0.3186
0.0468 0.4621 0.5806
0.0468 0.5379 0.0806
0.1539 0.2538 0.7527
0.1539 0.7462 0.2527
0.1663 0.2603 0.4140
0.1663 0.7397 0.9140
0.2343 0.0118 0.3458
0.2343 0.9882 0.8458
0.2996 0.0632 0.6003
0.2996 0.9368 0.1003
0.3349 0.4942 0.8024
0.3349 0.5058 0.3024
0.4783 0.2299 0.9933
0.4783 0.7701 0.4933
0.4936 0.4547 0.1301
0.4936 0.5453 0.6301
0.5021 0.2152 0.2429
0.5021 0.7848 0.7429
0.5076 0.1771 0.4831
0.5076 0.8229 0.9831
0.5270 0.2984 0.7434
0.5270 0.7016 0.2434
0.6195 0.0236 0.8620
0.6195 0.9764 0.3620
0.6942 0.4797 0.3876
0.6942 0.5203 0.8876
0.7956 0.2956 0.1957
0.7956 0.7044 0.6957
0.8250 0.1969 0.4550
0.8250 0.8031 0.9550
```

Main lines, in order of rising 2θ (2θ = 5–70°):
15.85°, rel. 100; 18.14°, rel. 48; 18.53°, rel. 48; 20.70°, rel. 36; 22.89°, rel. 45; 25.61°, rel. 52; 26.55°, rel. 32; 27.72°, rel. 35; 29.57°, rel. 44; 30.19°, rel. 25; 30.58°, rel. 68; 48.54°, rel. 26